[1]
The following is a computed X-ray powder pattern of LiV2O4. It was derived from DFT lattice parameters and positions (PBE+U), using Cu Kα, 1.54184 Å.
Peak positions follow from Bragg's law for the DFT cell and can differ from measured ones.

Crystal structure
Cell lengths 5.880, 6.055, 8.354 Å; angles 90.00, 90.00, 90.00 degrees
Space group Imma (No. 74)
One atom of each set of equivalent atoms:
Li (0.250, 0.250, 0.250) [4 per cell]
V (0.000, 0.000, 0.000) [4 per cell]
V (0.000, 0.250, 0.630) [4 per cell]
O (0.000, 0.011, 0.761) [8 per cell]
O (0.241, 0.250, 0.001) [8 per cell]

Largest 12 diffraction maxima, in order of rising 2θ, 10° ≤ 2θ ≤ 90°:
| 2theta | intensity | (hkl) |
| --- | --- | --- |
| 18.09 | 44 | 0 1 1 |
| 18.45 | 15 | 1 0 1 |
| 21.27 | 24 | 0 0 2 |
| 30.11 | 52 | 1 1 2 |
| 30.40 | 47 | 2 0 0 |
| 35.03 | 100 | 1 2 1 |
| 35.65 | 71 | 1 0 3 |
| 42.88 | 17 | 2 2 0 |
| 53.29 | 16 | 0 2 4 |
| 57.05 | 25 | 3 2 1 |
| 61.24 | 15 | 0 4 0 |
| 62.60 | 55 | 2 2 4 |

[2]
The following is a computed X-ray powder pattern of Li9Mn2Co5O16. It was derived from DFT lattice parameters and positions (PBE+U), using Cu Kα, 1.54184 Å.
Peak positions follow from Bragg's law for the DFT cell and can differ from measured ones.

Crystal structure
Cell lengths 19.539, 2.879, 10.373 Å; angles 90.00, 96.82, 90.00 degrees
Space group Cm (No. 8)
One atom of each set of equivalent atoms:
Li (0.000, 0.000, 0.000) [2 per cell]
Li (0.000, 0.000, 0.489) [2 per cell]
Li (0.000, 0.500, 0.742) [2 per cell]
Li (0.252, 0.000, 0.870) [2 per cell]
Li (0.252, 0.500, 0.125) [2 per cell]
Li (0.253, 0.500, 0.613) [2 per cell]
Li (0.258, 0.000, 0.360) [2 per cell]
Li (0.376, 0.500, 0.306) [2 per cell]
Li (0.494, 0.000, 0.249) [2 per cell]
Mn (0.128, 0.500, 0.430) [2 per cell]
Mn (0.376, 0.500, 0.806) [2 per cell]
Co (0.125, 0.500, 0.931) [2 per cell]
Co (0.126, 0.000, 0.177) [2 per cell]
Co (0.127, 0.000, 0.685) [2 per cell]
Co (0.372, 0.000, 0.076) [2 per cell]
Co (0.380, 0.000, 0.536) [2 per cell]
O (0.068, 0.500, 0.093) [2 per cell]
O (0.070, 0.000, 0.345) [2 per cell]
O (0.071, 0.000, 0.846) [2 per cell]
O (0.073, 0.500, 0.598) [2 per cell]
O (0.179, 0.000, 0.017) [2 per cell]
O (0.182, 0.500, 0.766) [2 per cell]
O (0.183, 0.000, 0.515) [2 per cell]
O (0.183, 0.500, 0.268) [2 per cell]
O (0.315, 0.000, 0.199) [2 per cell]
O (0.317, 0.500, 0.472) [2 per cell]
O (0.318, 0.000, 0.727) [2 per cell]
O (0.325, 0.500, 0.956) [2 per cell]
O (0.428, 0.500, 0.656) [2 per cell]
O (0.434, 0.000, 0.884) [2 per cell]
O (0.435, 0.500, 0.141) [2 per cell]
O (0.438, 0.000, 0.413) [2 per cell]

Largest 12 diffraction maxima, in order of rising 2θ, 10° ≤ 2θ ≤ 90°:
| 2theta | intensity | (hkl) |
| --- | --- | --- |
| 18.29 | 100 | 4 0 0 |
| 34.97 | 15 | 2 0 -4 |
| 36.31 | 24 | 1 1 2 |
| 37.63 | 8 | 3 1 -2 |
| 42.19 | 28 | 6 0 -4 |
| 44.05 | 53 | 5 1 2 |
| 47.40 | 9 | 7 1 -2 |
| 57.96 | 10 | 9 1 2 |
| 62.57 | 14 | 11 1 -2 |
| 62.71 | 14 | 1 1 -6 |
| 63.36 | 7 | 10 0 4 |
| 64.76 | 7 | 0 2 0 |

[3]
The following is a computed X-ray powder pattern of Li4V3O8. It was derived from DFT lattice parameters and positions (PBE+U), using Cu Kα, 1.54184 Å.
Peak positions follow from Bragg's law for the DFT cell and can differ from measured ones.

Crystal structure
Cell lengths 5.855, 6.151, 8.495 Å; angles 94.01, 90.09, 90.63 degrees
Space group P-1 (No. 2)
One atom of each set of equivalent atoms:
Li (0.000, 0.000, 0.000) [1 per cell]
Li (0.000, 0.000, 0.500) [1 per cell]
Li (0.006, 0.284, 0.357) [2 per cell]
Li (0.494, 0.216, 0.142) [2 per cell]
Li (0.500, 0.500, 0.000) [1 per cell]
Li (0.500, 0.500, 0.500) [1 per cell]
V (0.000, 0.500, 0.000) [1 per cell]
V (0.247, 0.749, 0.254) [2 per cell]
V (0.254, 0.248, 0.755) [2 per cell]
V (0.500, 0.000, 0.500) [1 per cell]
O (0.006, 0.472, 0.765) [2 per cell]
O (0.012, 0.038, 0.743) [2 per cell]
O (0.237, 0.722, 0.024) [2 per cell]
O (0.239, 0.275, 0.986) [2 per cell]
O (0.253, 0.765, 0.475) [2 per cell]
O (0.273, 0.215, 0.512) [2 per cell]
O (0.491, 0.462, 0.755) [2 per cell]
O (0.497, 0.971, 0.263) [2 per cell]

Largest 12 diffraction maxima, in order of rising 2θ, 10° ≤ 2θ ≤ 90°:
| 2theta | intensity | (hkl) |
| --- | --- | --- |
| 17.24 | 100 | 0 1 -1 |
| 18.42 | 20 | 1 0 -1 |
| 35.74 | 10 | -2 1 1 |
| 35.92 | 10 | 0 1 3 |
| 36.07 | 9 | 2 1 1 |
| 42.45 | 20 | 2 -2 0 |
| 42.68 | 19 | 0 0 4 |
| 42.94 | 19 | 2 2 0 |
| 54.95 | 6 | 2 -3 1 |
| 55.21 | 6 | 0 1 -5 |
| 55.53 | 6 | 2 3 -1 |
| 60.38 | 11 | 0 4 0 |

[4]
The following is a computed X-ray powder pattern of SrCrO3. It was derived from DFT lattice parameters and positions (PBE+U), using Cu Kα, 1.54184 Å.
Peak positions follow from Bragg's law for the DFT cell and can differ from measured ones.

Crystal structure
Cell lengths 5.5123, 5.5123, 9.1573 Å; angles 90.00, 90.00, 120.00 degrees
Space group P6_3/mmc (No. 194)
One atom of each set of equivalent atoms:
Sr (0.0000, 0.0000, 0.0000) [2 per cell]
Sr (0.3333, 0.6667, 0.2500) [2 per cell]
Cr (0.3333, 0.6667, 0.6148) [4 per cell]
O (0.0000, 0.5000, 0.0000) [6 per cell]
O (0.1807, 0.3614, 0.7500) [6 per cell]

Largest 12 diffraction maxima, in order of rising 2θ, 10° ≤ 2θ ≤ 90°:
| 2theta | intensity | (hkl) |
| --- | --- | --- |
| 26.98 | 55 | 1 0 2 |
| 32.49 | 100 | 1 1 0 |
| 34.89 | 48 | 1 0 3 |
| 42.72 | 56 | 2 0 2 |
| 43.86 | 9 | 1 0 4 |
| 48.41 | 36 | 2 0 3 |
| 54.68 | 13 | 2 1 2 |
| 57.96 | 18 | 3 0 0 |
| 59.51 | 22 | 2 1 3 |
| 64.07 | 17 | 2 0 5 |
| 68.03 | 22 | 2 2 0 |
| 73.69 | 19 | 2 0 6 |

[5]
The following is a computed X-ray powder pattern of FeOF. It was derived from DFT lattice parameters and positions (PBE+U), using Cu Kα, 1.54184 Å.
Peak positions follow from Bragg's law for the DFT cell and can differ from measured ones.

Crystal structure
Cell lengths 9.461, 3.085, 14.248 Å; angles 90.00, 90.29, 90.00 degrees
Space group Pm (No. 6)
One atom of each set of equivalent atoms:
Fe (0.000, 0.000, 0.000) [1 per cell]
Fe (0.001, 0.000, 0.339) [1 per cell]
Fe (0.205, 0.500, 0.170) [1 per cell]
Fe (0.238, 0.500, 0.490) [1 per cell]
Fe (0.244, 0.500, 0.854) [1 per cell]
Fe (0.486, 0.000, 0.339) [1 per cell]
Fe (0.489, 0.000, 0.005) [1 per cell]
Fe (0.505, 0.000, 0.670) [1 per cell]
Fe (0.707, 0.500, 0.171) [1 per cell]
Fe (0.737, 0.500, 0.822) [1 per cell]
Fe (0.742, 0.500, 0.520) [1 per cell]
Fe (0.974, 0.000, 0.675) [1 per cell]
O (0.077, 0.500, 0.275) [1 per cell]
O (0.078, 0.500, 0.934) [1 per cell]
O (0.131, 0.000, 0.445) [1 per cell]
O (0.134, 0.000, 0.103) [1 per cell]
O (0.343, 0.000, 0.908) [1 per cell]
O (0.391, 0.500, 0.403) [1 per cell]
O (0.580, 0.500, 0.274) [1 per cell]
O (0.582, 0.500, 0.605) [1 per cell]
O (0.632, 0.000, 0.100) [1 per cell]
O (0.637, 0.000, 0.773) [1 per cell]
O (0.842, 0.000, 0.570) [1 per cell]
O (0.895, 0.500, 0.741) [1 per cell]
F (0.090, 0.500, 0.615) [1 per cell]
F (0.149, 0.000, 0.773) [1 per cell]
F (0.328, 0.000, 0.230) [1 per cell]
F (0.330, 0.000, 0.574) [1 per cell]
F (0.386, 0.500, 0.738) [1 per cell]
F (0.388, 0.500, 0.070) [1 per cell]
F (0.589, 0.500, 0.938) [1 per cell]
F (0.647, 0.000, 0.442) [1 per cell]
F (0.828, 0.000, 0.906) [1 per cell]
F (0.830, 0.000, 0.233) [1 per cell]
F (0.879, 0.500, 0.400) [1 per cell]
F (0.883, 0.500, 0.066) [1 per cell]

Largest 12 diffraction maxima, in order of rising 2θ, 10° ≤ 2θ ≤ 90°:
| 2theta | intensity | (hkl) |
| --- | --- | --- |
| 26.53 | 93 | 2 0 -3 |
| 26.67 | 92 | 2 0 3 |
| 34.69 | 100 | 0 1 3 |
| 39.70 | 32 | 2 1 -3 |
| 52.29 | 55 | 2 1 -6 |
| 52.40 | 26 | 2 1 6 |
| 52.49 | 27 | 4 1 3 |
| 54.93 | 15 | 4 0 6 |
| 59.97 | 18 | 0 2 0 |
| 66.37 | 19 | 0 1 9 |
| 66.61 | 17 | 6 1 0 |
| 66.75 | 23 | 2 2 -3 |

[6]
The following is a computed X-ray powder pattern of MgNbCrO4. It was derived from DFT lattice parameters and positions (PBE+U), using Cu Kα, 1.54184 Å.
Peak positions follow from Bragg's law for the DFT cell and can differ from measured ones.

Crystal structure
Cell lengths 10.561, 4.154, 4.056 Å; angles 90.00, 112.40, 90.00 degrees
Space group Cm (No. 8)
One atom of each set of equivalent atoms:
Mg (0.000, 0.000, 0.000) [2 per cell]
Nb (0.238, 0.500, 0.241) [2 per cell]
Cr (0.464, 0.000, 0.465) [2 per cell]
O (0.013, 0.500, 0.014) [2 per cell]
O (0.219, 0.000, 0.220) [2 per cell]
O (0.256, 0.500, 0.758) [2 per cell]
O (0.462, 0.500, 0.462) [2 per cell]

Largest 12 diffraction maxima, in order of rising 2θ, 10° ≤ 2θ ≤ 90°:
| 2theta | intensity | (hkl) |
| --- | --- | --- |
| 23.27 | 72 | 1 1 0 |
| 23.76 | 100 | 0 0 1 |
| 35.03 | 37 | 3 1 0 |
| 36.00 | 61 | 3 1 -1 |
| 36.82 | 58 | 4 0 0 |
| 43.58 | 41 | 0 2 0 |
| 44.69 | 38 | 2 0 -2 |
| 50.23 | 24 | 0 2 1 |
| 50.98 | 16 | 3 1 -2 |
| 58.34 | 26 | 4 2 0 |
| 59.14 | 13 | 2 0 2 |
| 64.19 | 22 | 2 2 -2 |